Record 1
Simulated powder diffraction line list of BaYI5 for Cu Kα, from a GGA-PBE-relaxed structure.

Structure:
```
data_BaYI5
_space_group_name_H-M_alt 'C 1 2/c 1'
_space_group_IT_number 15
_space_group_name_Hall '-C 2yc'
_cell_length_a 14.0906
_cell_length_b 9.9358
_cell_length_c 11.8919
_cell_angle_alpha 90.00
_cell_angle_beta 115.21
_cell_angle_gamma 90.00
loop_
_atom_site_label
_atom_site_type_symbol
_atom_site_fract_x
_atom_site_fract_y
_atom_site_fract_z
Ba1 Ba 0.0000 0.0587 0.2500
Y1 Y 0.0000 0.5000 0.0000
I1 I 0.0000 0.4208 0.2500
I2 I 0.0137 0.1969 0.9705
I3 I 0.2332 0.4792 0.6217
```

Largest 10 diffraction maxima, in order of rising 2θ, 10° ≤ 2θ ≤ 90°:
hkl 2 0 0, 13.9 deg, intensity 98
hkl 1 1 -2, 17.4 deg, intensity 75
hkl 0 2 0, 17.9 deg, intensity 42
hkl 1 1 2, 22.3 deg, intensity 48
hkl 1 1 -3, 24.4 deg, intensity 76
hkl 4 0 0, 28.0 deg, intensity 100
hkl 2 0 -4, 30.1 deg, intensity 71
hkl 1 3 -2, 30.9 deg, intensity 73
hkl 2 2 2, 31.5 deg, intensity 46
hkl 3 3 2, 42.2 deg, intensity 55

Record 2
Simulated powder diffraction line list of BaYI5 for Cu Kα, from a GGA-PBE-relaxed structure.

Structure:
```
data_BaYI5
_space_group_name_H-M_alt 'P 1 21 1'
_space_group_IT_number 4
_space_group_name_Hall 'P 2yb'
_cell_length_a 8.2021
_cell_length_b 14.5845
_cell_length_c 11.0276
_cell_angle_alpha 90.00
_cell_angle_beta 94.91
_cell_angle_gamma 90.00
loop_
_atom_site_label
_atom_site_type_symbol
_atom_site_fract_x
_atom_site_fract_y
_atom_site_fract_z
Ba1 Ba 0.0547 0.0000 0.1781
Ba2 Ba 0.4019 0.3337 0.3727
Y1 Y 0.0012 0.5801 0.4048
Y2 Y 0.4953 0.6891 0.1266
I1 I 0.0239 0.2151 0.3873
I2 I 0.0784 0.4561 0.2000
I3 I 0.1472 0.2348 0.7618
I4 I 0.2005 0.6670 0.9544
I5 I 0.2363 0.4770 0.5873
I6 I 0.2590 0.9759 0.4679
I7 I 0.3240 0.1854 0.1129
I8 I 0.3395 0.6921 0.3784
I9 I 0.4175 0.9948 0.8104
I10 I 0.4334 0.8909 0.1371
```

Largest 10 diffraction maxima, in order of rising 2θ, 10° ≤ 2θ ≤ 90°:
hkl 0 4 0, 24.4 deg, intensity 73
hkl 2 2 -1, 25.7 deg, intensity 100
hkl 0 2 3, 27.2 deg, intensity 27
hkl 1 3 2, 27.4 deg, intensity 35
hkl 2 1 2, 29.0 deg, intensity 33
hkl 2 2 2, 30.9 deg, intensity 18
hkl 2 1 -3, 32.0 deg, intensity 22
hkl 2 4 -1, 33.5 deg, intensity 24
hkl 1 5 1, 33.9 deg, intensity 36
hkl 2 0 -4, 37.9 deg, intensity 18

Record 3
Simulated powder diffraction line list of BaYI5 for Cu Kα, from a GGA-PBE-relaxed structure.

Structure:
```
data_BaYI5
_space_group_name_H-M_alt 'C 1 2/c 1'
_space_group_IT_number 15
_space_group_name_Hall '-C 2yc'
_cell_length_a 6.4556
_cell_length_b 21.9445
_cell_length_c 7.8106
_cell_angle_alpha 90.00
_cell_angle_beta 93.58
_cell_angle_gamma 90.00
loop_
_atom_site_label
_atom_site_type_symbol
_atom_site_fract_x
_atom_site_fract_y
_atom_site_fract_z
Ba1 Ba 0.0000 0.1722 0.2500
Y1 Y 0.0000 0.4228 0.2500
I1 I 0.0000 0.1304 0.7500
I2 I 0.0052 0.3105 0.9973
I3 I 0.2436 0.4680 0.5966
```

Largest 10 diffraction maxima, in order of rising 2θ, 10° ≤ 2θ ≤ 90°:
hkl 1 1 -2, 26.3 deg, intensity 51
hkl 0 6 1, 26.9 deg, intensity 22
hkl 2 2 0, 28.9 deg, intensity 51
hkl 1 3 2, 30.1 deg, intensity 100
hkl 1 7 0, 31.7 deg, intensity 29
hkl 2 4 0, 32.2 deg, intensity 26
hkl 1 5 -2, 33.1 deg, intensity 36
hkl 1 7 -1, 33.5 deg, intensity 25
hkl 0 4 3, 38.3 deg, intensity 22
hkl 3 3 -2, 48.7 deg, intensity 26